1.
Simulated powder X-ray diffraction pattern of Nd3TlPb2 for Cu Kα (λ = 1.5418 Å), from a cell relaxed with GGA-PBE.
Peak positions follow from Bragg's law for the DFT cell and can differ from measured ones.

The 10 most intense peaks (10° ≤ 2θ ≤ 90°), in order of rising 2θ:
2θ (°)  d_spacing  I_rel
30.53  2.928  42
31.40  2.849  100
31.86  2.809  42
33.24  2.695  35
35.52  2.528  27
42.14  2.144  20
46.45  1.955  12
50.41  1.810  13
65.43  1.426  27
65.67  1.422  16

Structure:
abc: 9.335 9.335 6.509
angles: 100.83 100.83 41.36
Positions (direct):
Nd: 0.132 0.868 0.750
Nd: 0.214 0.446 0.398
Nd: 0.446 0.214 0.898
Nd: 0.554 0.786 0.102
Nd: 0.786 0.554 0.602
Nd: 0.868 0.132 0.250
Tl: 0.375 0.625 0.250
Tl: 0.625 0.375 0.750
Pb: 0.051 0.272 0.068
Pb: 0.272 0.051 0.568
Pb: 0.728 0.949 0.432
Pb: 0.949 0.728 0.932


2.
Simulated powder X-ray diffraction pattern of Sc2GaAs for Cu Kα (λ = 1.5418 Å), from a cell relaxed with GGA-PBE.
Peak positions follow from Bragg's law for the DFT cell and can differ from measured ones.

The 10 most intense peaks (10° ≤ 2θ ≤ 90°), in order of rising 2θ:
2θ (°)  d_spacing  I_rel
25.81  3.452  18
32.53  2.753  100
33.61  2.667  40
44.13  2.052  74
45.97  1.974  24
46.53  1.952  23
58.14  1.587  15
58.61  1.575  15
67.48  1.388  14
77.54  1.231  12

Structure:
abc: 10.848 10.848 3.903
angles: 90.00 90.00 159.03
Positions (direct):
Sc: 0.065 0.935 0.750
Sc: 0.315 0.685 0.750
Sc: 0.685 0.315 0.250
Sc: 0.935 0.065 0.250
Ga: 0.460 0.540 0.750
Ga: 0.540 0.460 0.250
As: 0.188 0.812 0.750
As: 0.812 0.188 0.250


3.
Simulated powder X-ray diffraction pattern of Ac4DyHo2 for Cu Kα (λ = 1.5418 Å), from a cell relaxed with GGA-PBE.
Peak positions follow from Bragg's law for the DFT cell and can differ from measured ones.

The 10 most intense peaks (10° ≤ 2θ ≤ 90°), in order of rising 2θ:
2θ (°)  d_spacing  I_rel
28.25  3.159  14
28.81  3.099  100
29.13  3.065  32
29.93  2.985  62
30.58  2.924  31
30.77  2.906  21
35.24  2.547  36
48.01  1.895  17
52.51  1.743  19
57.68  1.598  21

Structure:
abc: 7.168 7.168 13.128
angles: 96.96 96.96 123.60
Positions (direct):
Ac: 0.015 0.829 0.222
Ac: 0.077 0.923 0.500
Ac: 0.216 0.504 0.564
Ac: 0.428 0.701 0.145
Ac: 0.504 0.216 0.064
Ac: 0.701 0.428 0.645
Ac: 0.829 0.015 0.722
Ac: 0.923 0.077 0.000
Dy: 0.402 0.520 0.854
Dy: 0.520 0.402 0.354
Ho: 0.328 0.968 0.787
Ho: 0.575 0.950 0.424
Ho: 0.950 0.575 0.924
Ho: 0.968 0.328 0.287


4.
Simulated powder X-ray diffraction pattern of Ho2Er3Tm4 for Cu Kα (λ = 1.5418 Å), from a cell relaxed with GGA-PBE.
Peak positions follow from Bragg's law for the DFT cell and can differ from measured ones.

The 10 most intense peaks (10° ≤ 2θ ≤ 90°), in order of rising 2θ:
2θ (°)  d_spacing  I_rel
28.96  3.083  14
30.71  2.911  63
31.39  2.850  46
31.56  2.835  61
32.40  2.764  100
38.13  2.360  34
38.84  2.319  27
51.00  1.791  14
57.13  1.612  21
59.37  1.557  14

Structure:
abc: 9.785 9.785 6.045
angles: 94.77 94.77 71.25
Positions (direct):
Ho: 0.022 0.736 0.679
Ho: 0.264 0.978 0.821
Ho: 0.736 0.022 0.179
Ho: 0.978 0.264 0.321
Er: 0.096 0.904 0.250
Er: 0.237 0.430 0.413
Er: 0.430 0.237 0.913
Er: 0.570 0.763 0.087
Er: 0.763 0.570 0.587
Er: 0.904 0.096 0.750
Tm: 0.072 0.355 0.847
Tm: 0.312 0.596 0.986
Tm: 0.355 0.072 0.347
Tm: 0.404 0.688 0.514
Tm: 0.596 0.312 0.486
Tm: 0.645 0.928 0.653
Tm: 0.688 0.404 0.014
Tm: 0.928 0.645 0.153


5.
Simulated powder X-ray diffraction pattern of SrGa6Ir2 for Cu Kα (λ = 1.5418 Å), from a cell relaxed with GGA-PBE.
Peak positions follow from Bragg's law for the DFT cell and can differ from measured ones.

The 10 most intense peaks (10° ≤ 2θ ≤ 90°), in order of rising 2θ:
2θ (°)  d_spacing  I_rel
12.49  7.090  62
24.04  3.702  89
25.12  3.545  52
38.08  2.363  28
41.60  2.171  100
43.61  2.076  16
49.22  1.851  26
53.27  1.719  15
57.66  1.599  36
75.92  1.253  23

Structure:
abc: 8.683 8.683 8.683
angles: 60.00 60.00 60.00
Positions (direct):
Sr: 0.125 0.125 0.125
Sr: 0.875 0.875 0.875
Ga: 0.155 0.155 0.595
Ga: 0.155 0.595 0.155
Ga: 0.155 0.595 0.595
Ga: 0.405 0.405 0.845
Ga: 0.405 0.845 0.405
Ga: 0.405 0.845 0.845
Ga: 0.595 0.155 0.155
Ga: 0.595 0.155 0.595
Ga: 0.595 0.595 0.155
Ga: 0.845 0.405 0.405
Ga: 0.845 0.405 0.845
Ga: 0.845 0.845 0.405
Ir: 0.000 0.500 0.500
Ir: 0.500 0.000 0.500
Ir: 0.500 0.500 0.000
Ir: 0.500 0.500 0.500


6.
Simulated powder X-ray diffraction pattern of Pr6S4N3Cl for Cu Kα (λ = 1.5418 Å), from a cell relaxed with GGA-PBE.
Peak positions follow from Bragg's law for the DFT cell and can differ from measured ones.

The 10 most intense peaks (10° ≤ 2θ ≤ 90°), in order of rising 2θ:
2θ (°)  d_spacing  I_rel
26.10  3.415  100
26.51  3.362  33
26.69  3.340  95
28.52  3.130  26
32.94  2.719  21
37.49  2.399  33
37.86  2.376  24
44.57  2.033  27
46.49  1.953  24
52.38  1.747  31

Structure:
abc: 11.888 4.066 26.918
angles: 90.00 90.00 90.00
Positions (direct):
Pr: 0.055 0.250 0.191
Pr: 0.057 0.250 0.926
Pr: 0.088 0.250 0.459
Pr: 0.117 0.250 0.705
Pr: 0.234 0.750 0.831
Pr: 0.235 0.750 0.565
Pr: 0.265 0.250 0.065
Pr: 0.266 0.250 0.331
Pr: 0.383 0.750 0.205
Pr: 0.412 0.750 0.959
Pr: 0.443 0.750 0.426
Pr: 0.445 0.750 0.691
Pr: 0.555 0.250 0.309
Pr: 0.557 0.250 0.574
Pr: 0.588 0.250 0.041
Pr: 0.617 0.250 0.795
Pr: 0.734 0.750 0.669
Pr: 0.735 0.750 0.935
Pr: 0.765 0.250 0.435
Pr: 0.766 0.250 0.169
Pr: 0.883 0.750 0.295
Pr: 0.912 0.750 0.541
Pr: 0.943 0.750 0.074
Pr: 0.945 0.750 0.809
S: 0.046 0.750 0.634
S: 0.146 0.750 0.007
S: 0.182 0.750 0.141
S: 0.215 0.750 0.396
S: 0.285 0.250 0.896
S: 0.318 0.250 0.641
S: 0.354 0.250 0.507
S: 0.454 0.250 0.134
S: 0.546 0.750 0.866
S: 0.646 0.750 0.493
S: 0.682 0.750 0.359
S: 0.715 0.750 0.104
S: 0.785 0.250 0.604
S: 0.818 0.250 0.859
S: 0.854 0.250 0.993
S: 0.954 0.250 0.366
N: 0.061 0.750 0.876
N: 0.098 0.750 0.509
N: 0.112 0.750 0.760
N: 0.388 0.250 0.260
N: 0.402 0.250 0.009
N: 0.439 0.250 0.376
N: 0.561 0.750 0.624
N: 0.598 0.750 0.991
N: 0.612 0.750 0.740
N: 0.888 0.250 0.240
N: 0.902 0.250 0.491
N: 0.939 0.250 0.124
Cl: 0.131 0.750 0.268
Cl: 0.369 0.250 0.768
Cl: 0.631 0.750 0.232
Cl: 0.869 0.250 0.732


7.
Simulated powder X-ray diffraction pattern of CaDy4Te5 for Cu Kα (λ = 1.5418 Å), from a cell relaxed with GGA-PBE.
Peak positions follow from Bragg's law for the DFT cell and can differ from measured ones.

The 10 most intense peaks (10° ≤ 2θ ≤ 90°), in order of rising 2θ:
2θ (°)  d_spacing  I_rel
12.79  6.920  4
16.95  5.231  4
24.92  3.573  2
28.85  3.095  100
41.26  2.188  76
51.12  1.787  27
59.76  1.547  13
67.70  1.384  35
75.21  1.263  26
89.59  1.094  9

Structure:
abc: 7.581 7.581 7.581
angles: 99.59 99.59 131.81
Positions (direct):
Ca: 0.000 0.000 0.000
Dy: 0.201 0.398 0.598
Dy: 0.398 0.799 0.197
Dy: 0.602 0.201 0.803
Dy: 0.799 0.602 0.402
Te: 0.099 0.698 0.797
Te: 0.302 0.099 0.401
Te: 0.500 0.500 0.000
Te: 0.698 0.901 0.599
Te: 0.901 0.302 0.203


8.
Simulated powder X-ray diffraction pattern of Pr4Er10Sc for Cu Kα (λ = 1.5418 Å), from a cell relaxed with GGA-PBE.
Peak positions follow from Bragg's law for the DFT cell and can differ from measured ones.

The 10 most intense peaks (10° ≤ 2θ ≤ 90°), in order of rising 2θ:
2θ (°)  d_spacing  I_rel
22.76  3.908  26
25.02  3.558  42
27.80  3.209  71
30.85  2.898  37
31.81  2.813  100
32.11  2.788  88
33.79  2.652  33
34.08  2.631  37
41.13  2.195  51
67.81  1.382  32

Structure:
abc: 8.865 8.865 8.865
angles: 101.20 101.20 127.69
Positions (direct):
Pr: 0.227 0.227 0.455
Pr: 0.227 0.773 0.000
Pr: 0.773 0.227 0.000
Pr: 0.773 0.773 0.545
Er: 0.084 0.291 0.793
Er: 0.250 0.750 0.500
Er: 0.291 0.084 0.793
Er: 0.291 0.498 0.207
Er: 0.498 0.291 0.207
Er: 0.502 0.709 0.793
Er: 0.709 0.502 0.793
Er: 0.709 0.916 0.207
Er: 0.750 0.250 0.500
Er: 0.916 0.709 0.207
Sc: 0.000 0.000 0.000


9.
Simulated powder X-ray diffraction pattern of Sr5Mg for Cu Kα (λ = 1.5418 Å), from a cell relaxed with GGA-PBE.
Peak positions follow from Bragg's law for the DFT cell and can differ from measured ones.

The 10 most intense peaks (10° ≤ 2θ ≤ 90°), in order of rising 2θ:
2θ (°)  d_spacing  I_rel
25.07  3.552  24
26.59  3.353  26
28.43  3.139  100
36.86  2.438  18
44.16  2.051  19
48.09  1.892  23
52.29  1.750  23
53.36  1.717  17
71.69  1.316  13
84.11  1.151  9

Structure:
abc: 7.861 7.861 7.861
angles: 53.73 53.73 53.73
Positions (direct):
Sr: 0.000 0.655 0.345
Sr: 0.164 0.164 0.164
Sr: 0.345 0.000 0.655
Sr: 0.655 0.345 0.000
Sr: 0.836 0.836 0.836
Mg: 0.500 0.500 0.500


10.
Simulated powder X-ray diffraction pattern of CsK2SnSe4 for Cu Kα (λ = 1.5418 Å), from a cell relaxed with GGA-PBE.
Peak positions follow from Bragg's law for the DFT cell and can differ from measured ones.

The 10 most intense peaks (10° ≤ 2θ ≤ 90°), in order of rising 2θ:
2θ (°)  d_spacing  I_rel
14.81  5.982  48
24.46  3.639  100
25.47  3.497  39
28.71  3.109  21
29.87  2.991  40
38.98  2.311  50
44.97  2.016  29
45.49  1.994  13
48.10  1.892  13
52.57  1.741  12

Structure:
abc: 7.537 7.537 7.537
angles: 111.79 111.66 105.05
Positions (direct):
Cs: 0.000 0.000 0.000
K: 0.251 0.751 0.500
K: 0.749 0.249 0.500
Sn: 0.500 0.500 0.000
Se: 0.171 0.171 0.639
Se: 0.468 0.829 0.999
Se: 0.532 0.532 0.361
Se: 0.829 0.468 0.001


11.
Simulated powder X-ray diffraction pattern of Dy2Pd8Pt for Cu Kα (λ = 1.5418 Å), from a cell relaxed with GGA-PBE.
Peak positions follow from Bragg's law for the DFT cell and can differ from measured ones.

The 10 most intense peaks (10° ≤ 2θ ≤ 90°), in order of rising 2θ:
2θ (°)  d_spacing  I_rel
29.39  3.039  33
33.09  2.707  29
36.96  2.432  52
37.34  2.409  63
38.10  2.362  76
38.99  2.310  77
40.44  2.231  100
40.89  2.207  68
63.07  1.474  27
69.43  1.354  29

Structure:
abc: 7.375 7.375 5.319
angles: 96.72 96.72 43.07
Positions (direct):
Dy: 0.184 0.184 0.335
Dy: 0.816 0.816 0.665
Pd: 0.173 0.660 0.109
Pd: 0.255 0.255 0.857
Pd: 0.340 0.827 0.891
Pd: 0.413 0.413 0.603
Pd: 0.587 0.587 0.397
Pd: 0.660 0.173 0.109
Pd: 0.745 0.745 0.143
Pd: 0.827 0.340 0.891
Pt: 0.000 0.000 0.500


12.
Simulated powder X-ray diffraction pattern of Rb2Tl5Bi4 for Cu Kα (λ = 1.5418 Å), from a cell relaxed with GGA-PBE.
Peak positions follow from Bragg's law for the DFT cell and can differ from measured ones.

The 10 most intense peaks (10° ≤ 2θ ≤ 90°), in order of rising 2θ:
2θ (°)  d_spacing  I_rel
14.93  5.934  71
22.84  3.894  33
28.30  3.154  64
28.74  3.106  48
30.63  2.919  69
34.02  2.636  100
35.84  2.505  26
38.40  2.344  27
46.58  1.950  23
62.62  1.483  22

Structure:
abc: 11.778 10.646 7.155
angles: 80.25 62.97 36.78
Positions (direct):
Rb: 0.153 0.153 0.847
Rb: 0.847 0.847 0.153
Tl: 0.000 0.000 0.500
Tl: 0.250 0.250 0.250
Tl: 0.500 0.500 0.000
Tl: 0.500 0.500 0.500
Tl: 0.750 0.750 0.750
Bi: 0.231 0.486 0.514
Bi: 0.486 0.231 0.769
Bi: 0.514 0.769 0.231
Bi: 0.769 0.514 0.486